No. 1
LiFe3: computed powder diffractogram (a wavelength of 1.5418 Å), based on a crystal structure in Alexandria, relaxed with GGA-PBE.
Intensities are scaled so that the largest is 100.

Crystal structure
```
data_LiFe3
_cell_length_a 2.4059
_cell_length_b 3.9644
_cell_length_c 5.0247
_cell_angle_alpha 90.00
_cell_angle_beta 90.00
_cell_angle_gamma 90.00
_space_group_name_H-M_alt 'P m m m'
_space_group_IT_number 47
_space_group_name_Hall '-P 2 2'
loop_
_atom_site_label
_atom_site_type_symbol
_atom_site_fract_x
_atom_site_fract_y
_atom_site_fract_z
Li1 Li 0.0000 0.0000 0.0000
Fe1 Fe 0.0000 0.0000 0.5000
Fe2 Fe 0.5000 0.5000 0.2618
```

Peak list (12 most intense, 2θ = 15–90°, in order of falling intensity)
d (Å)	2θ (°)	intensity	index
2.122	42.60	100.0	0 1 2
2.057	44.03	91.7	1 1 0
5.025	17.65	61.3	0 0 1
1.738	52.68	51.1	1 0 2
1.982	45.78	40.6	0 2 0
1.307	72.31	36.1	1 2 2
3.964	22.43	25.6	0 1 0
3.112	28.68	19.2	0 1 1
1.903	47.78	16.7	1 1 1
1.170	82.47	13.7	0 3 2
1.158	83.46	12.1	1 3 0
1.256	75.72	7.5	0 0 4

No. 2
LiMg14Fe: computed powder diffractogram (a wavelength of 1.5418 Å), based on a crystal structure in Alexandria, relaxed with GGA-PBE.
Intensities are scaled so that the largest is 100.

Crystal structure
```
data_LiMg14Fe
_cell_length_a 6.2473
_cell_length_b 6.2473
_cell_length_c 10.1327
_cell_angle_alpha 90.00
_cell_angle_beta 90.00
_cell_angle_gamma 120.00
_space_group_name_H-M_alt 'P -6 m 2'
_space_group_IT_number 187
_space_group_name_Hall 'P -6 2'
loop_
_atom_site_label
_atom_site_type_symbol
_atom_site_fract_x
_atom_site_fract_y
_atom_site_fract_z
Li1 Li 0.0000 0.0000 0.0000
Mg1 Mg 0.0034 0.5017 0.0000
Mg2 Mg 0.1616 0.3232 0.2588
Mg3 Mg 0.5014 0.0029 0.5000
Mg4 Mg 0.6667 0.3333 0.2471
Fe1 Fe 0.0000 0.0000 0.5000
```

Peak list (12 most intense, 2θ = 15–90°, in order of falling intensity)
d (Å)	2θ (°)	intensity	index
2.386	37.70	100.0	2 0 2
2.533	35.44	26.2	0 0 4
2.705	33.12	24.2	2 0 0
1.329	70.88	18.4	2 2 4
1.433	65.11	17.8	2 0 6
1.562	59.15	16.7	2 2 0
1.849	49.28	14.8	2 0 4
4.773	18.59	14.8	1 0 1
1.307	72.30	13.1	4 0 2
2.985	29.93	3.6	1 1 1
1.193	80.50	3.1	4 0 4
2.293	39.29	3.0	1 1 3